Record 1
Diffraction record for PPbSe3. The powder X-ray diffraction pattern is simulated, not measured: it uses a DFT-relaxed cell (GGA-PBE, the Materials Project) and Cu Kα, 1.54184 Å.
Peak positions follow from Bragg's law for the DFT cell and can differ from measured ones.

The 12 most intense peaks (15° ≤ 2θ ≤ 90°), sorted by position:
| Position (°2θ) | I_rel |
| --- | --- |
| 18.01 | 39 |
| 19.31 | 55 |
| 24.51 | 90 |
| 29.22 | 100 |
| 30.49 | 38 |
| 31.48 | 44 |
| 31.77 | 62 |
| 32.49 | 41 |
| 35.08 | 53 |
| 35.73 | 56 |
| 36.49 | 41 |
| 36.75 | 43 |

Cell and atoms:
Lattice parameters (Å, degrees): 7.127 7.811 11.969 90.00 124.63 90.00
Positions (direct):
P 0.123 0.107 0.063
P 0.123 0.393 0.563
P 0.877 0.607 0.437
P 0.877 0.893 0.937
Pb 0.217 0.618 0.252
Pb 0.217 0.882 0.752
Pb 0.783 0.118 0.248
Pb 0.783 0.382 0.748
Se 0.104 0.694 0.942
Se 0.104 0.806 0.442
Se 0.270 0.203 0.954
Se 0.270 0.297 0.454
Se 0.376 0.502 0.766
Se 0.376 0.998 0.266
Se 0.624 0.002 0.734
Se 0.624 0.498 0.234
Se 0.730 0.703 0.546
Se 0.730 0.797 0.046
Se 0.896 0.194 0.558
Se 0.896 0.306 0.058

---

Record 2
Diffraction record for DyMgTl2. The powder X-ray diffraction pattern is simulated, not measured: it uses a DFT-relaxed cell (GGA-PBE, the Materials Project) and Cu Kα, 1.54184 Å.
Peak positions follow from Bragg's law for the DFT cell and can differ from measured ones.

The 12 most intense peaks (15° ≤ 2θ ≤ 90°), sorted by position:
| Position (°2θ) | I_rel |
| --- | --- |
| 20.63 | 12 |
| 23.87 | 16 |
| 34.00 | 100 |
| 40.10 | 7 |
| 41.97 | 5 |
| 48.85 | 18 |
| 53.57 | 3 |
| 55.08 | 7 |
| 60.86 | 38 |
| 71.58 | 12 |
| 76.67 | 3 |
| 81.66 | 17 |

Cell and atoms:
Lattice parameters (Å, degrees): 5.273 5.273 5.273 60.00 60.00 60.00
Positions (direct):
Dy 0.000 0.000 0.000
Mg 0.500 0.500 0.500
Tl 0.250 0.250 0.250
Tl 0.750 0.750 0.750